No. 1
The following is a simulated X-ray powder pattern of CoSe2. It was derived from the PBE geometry in the Materials Project, using Cu Kα, 1.54184 Å.
Lines closer than 0.1° are merged.

Main lines, low angle first (2θ = 15–90°):
2theta	I_rel
30.6	183
34.3	1000
37.7	751
43.8	147
51.9	643
56.8	208
59.2	395
63.7	62
72.3	66
74.4	205
76.5	93
86.6	180

Structure:
```
data_CoSe2
_chemical_formula_sum 'Co4 Se8'
_cell_length_a 5.8426
_cell_length_b 5.8426
_cell_length_c 5.8426
_cell_angle_alpha 90.00
_cell_angle_beta 90.00
_cell_angle_gamma 90.00
_symmetry_space_group_name_H-M 'P 1'
_symmetry_Int_Tables_number 1
_symmetry_space_group_name_Hall 'P 1'
loop_
_atom_site_label
_atom_site_fract_x
_atom_site_fract_y
_atom_site_fract_z
Co1 0.0000 0.0000 0.0000
Co2 0.0000 0.5000 0.5000
Co3 0.5000 0.0000 0.5000
Co4 0.5000 0.5000 0.0000
Se1 0.1268 0.6268 0.8732
Se2 0.1268 0.8732 0.3732
Se3 0.3732 0.1268 0.8732
Se4 0.3732 0.3732 0.3732
Se5 0.6268 0.6268 0.6268
Se6 0.6268 0.8732 0.1268
Se7 0.8732 0.1268 0.6268
Se8 0.8732 0.3732 0.1268
```


No. 2
The following is a simulated X-ray powder pattern of CoSe2. It was derived from the PBE geometry in the Materials Project, using Cu Kα, 1.54184 Å.
Lines closer than 0.1° are merged.

Main lines, low angle first (2θ = 15–90°):
2theta	I_rel
15.7	399
30.3	110
31.7	378
36.8	1000
48.4	106
53.0	662
55.7	78
63.1	148
66.3	216
78.3	98
86.9	61
89.8	281

Structure:
```
data_CoSe2
_chemical_formula_sum 'Co4 Se8'
_cell_length_a 6.9080
_cell_length_b 6.9080
_cell_length_c 6.9080
_cell_angle_alpha 60.00
_cell_angle_beta 60.00
_cell_angle_gamma 60.00
_symmetry_space_group_name_H-M 'P 1'
_symmetry_Int_Tables_number 1
_symmetry_space_group_name_Hall 'P 1'
loop_
_atom_site_label
_atom_site_fract_x
_atom_site_fract_y
_atom_site_fract_z
Co1 0.0000 0.0000 0.0000
Co2 0.0000 0.0000 0.5000
Co3 0.0000 0.5000 0.0000
Co4 0.5000 0.0000 0.0000
Se1 0.2305 0.7565 0.7565
Se2 0.2435 0.2435 0.2435
Se3 0.2435 0.2435 0.7695
Se4 0.2435 0.7695 0.2435
Se5 0.7565 0.2305 0.7565
Se6 0.7565 0.7565 0.2305
Se7 0.7565 0.7565 0.7565
Se8 0.7695 0.2435 0.2435
```


No. 3
The following is a simulated X-ray powder pattern of Co9Se8. It was derived from the PBE geometry in the Materials Project, using Cu Kα, 1.54184 Å.
Lines closer than 0.1° are merged.

Main lines, low angle first (2θ = 15–90°):
2theta	I_rel
28.6	354
29.9	673
34.7	38
37.9	97
45.6	231
49.9	1000
58.5	41
59.3	264
69.9	66
73.2	146
80.4	55
81.1	102

Structure:
```
data_Co9Se8
_chemical_formula_sum 'Co9 Se8'
_cell_length_a 7.3125
_cell_length_b 7.3125
_cell_length_c 7.3125
_cell_angle_alpha 60.00
_cell_angle_beta 60.00
_cell_angle_gamma 60.00
_symmetry_space_group_name_H-M 'P 1'
_symmetry_Int_Tables_number 1
_symmetry_space_group_name_Hall 'P 1'
loop_
_atom_site_label
_atom_site_fract_x
_atom_site_fract_y
_atom_site_fract_z
Co1 0.0000 0.0000 0.0000
Co2 0.1298 0.6234 0.6234
Co3 0.3766 0.3766 0.3766
Co4 0.3766 0.3766 0.8702
Co5 0.3766 0.8702 0.3766
Co6 0.6234 0.1298 0.6234
Co7 0.6234 0.6234 0.1298
Co8 0.6234 0.6234 0.6234
Co9 0.8702 0.3766 0.3766
Se1 0.2363 0.2363 0.7637
Se2 0.2363 0.7637 0.2363
Se3 0.2363 0.7637 0.7637
Se4 0.2500 0.2500 0.2500
Se5 0.7500 0.7500 0.7500
Se6 0.7637 0.2363 0.2363
Se7 0.7637 0.2363 0.7637
Se8 0.7637 0.7637 0.2363
```


No. 4
The following is a simulated X-ray powder pattern of CoSe. It was derived from the PBE geometry in the Materials Project, using Cu Kα, 1.54184 Å.
Lines closer than 0.1° are merged.

Main lines, low angle first (2θ = 15–90°):
2theta	I_rel
28.6	83
33.4	1000
34.4	10
45.3	909
50.6	629
61.1	171
62.0	163
62.7	13
70.3	228
72.6	68
83.2	72
84.0	141

Structure:
```
data_CoSe
_chemical_formula_sum 'Co2 Se2'
_cell_length_a 3.6074
_cell_length_b 3.6074
_cell_length_c 5.2074
_cell_angle_alpha 90.00
_cell_angle_beta 90.00
_cell_angle_gamma 120.00
_symmetry_space_group_name_H-M 'P 1'
_symmetry_Int_Tables_number 1
_symmetry_space_group_name_Hall 'P 1'
loop_
_atom_site_label
_atom_site_fract_x
_atom_site_fract_y
_atom_site_fract_z
Co1 0.0000 0.0000 0.0000
Co2 0.0000 0.0000 0.5000
Se1 0.3333 0.6667 0.2500
Se2 0.6667 0.3333 0.7500
```


No. 5
The following is a simulated X-ray powder pattern of Co2Sn3Se3. It was derived from the PBE geometry in the Materials Project, using Cu Kα, 1.54184 Å.
Lines closer than 0.1° are merged.

Main lines, low angle first (2θ = 15–90°):
2theta	I_rel
20.2	88
24.8	105
32.2	1000
38.3	295
38.3	102
46.1	281
50.8	147
53.1	170
61.4	145
61.5	98
72.9	89
73.0	88

Structure:
```
data_Co2Sn3Se3
_chemical_formula_sum 'Co8 Sn12 Se12'
_cell_length_a 8.7971
_cell_length_b 8.7971
_cell_length_c 8.7971
_cell_angle_alpha 90.12
_cell_angle_beta 90.12
_cell_angle_gamma 90.12
_symmetry_space_group_name_H-M 'P 1'
_symmetry_Int_Tables_number 1
_symmetry_space_group_name_Hall 'P 1'
loop_
_atom_site_label
_atom_site_fract_x
_atom_site_fract_y
_atom_site_fract_z
Co1 0.2415 0.2415 0.2415
Co2 0.2417 0.7379 0.7446
Co3 0.2554 0.7583 0.2621
Co4 0.2621 0.2554 0.7583
Co5 0.7379 0.7446 0.2417
Co6 0.7446 0.2417 0.7379
Co7 0.7583 0.2621 0.2554
Co8 0.7585 0.7585 0.7585
Sn1 0.9999 0.3285 0.8424
Sn2 0.0001 0.6715 0.1576
Sn3 0.1576 0.0001 0.6715
Sn4 0.1736 0.3442 0.5006
Sn5 0.3285 0.8424 0.9999
Sn6 0.3442 0.5006 0.1736
Sn7 0.4994 0.8264 0.6558
Sn8 0.5006 0.1736 0.3442
Sn9 0.6558 0.4994 0.8264
Sn10 0.6715 0.1576 0.0001
Sn11 0.8264 0.6558 0.4994
Sn12 0.8424 0.9999 0.3285
Se1 0.0022 0.3389 0.1555
Se2 0.1555 0.0022 0.3389
Se3 0.1603 0.6566 0.4986
Se4 0.3389 0.1555 0.0022
Se5 0.3434 0.5014 0.8397
Se6 0.4986 0.1603 0.6566
Se7 0.5014 0.8397 0.3434
Se8 0.6566 0.4986 0.1603
Se9 0.6611 0.8445 0.9978
Se10 0.8397 0.3434 0.5014
Se11 0.8445 0.9978 0.6611
Se12 0.9978 0.6611 0.8445
```


No. 6
The following is a simulated X-ray powder pattern of Ta11Co2Se8. It was derived from the PBE geometry in the Materials Project, using Cu Kα, 1.54184 Å.
Lines closer than 0.1° are merged.

Main lines, low angle first (2θ = 15–90°):
2theta	I_rel
32.6	549
34.2	417
35.5	1000
36.9	482
37.3	337
37.8	394
38.0	358
39.0	398
40.6	774
41.5	320
42.1	242
53.3	421

Structure:
```
data_Ta11Co2Se8
_chemical_formula_sum 'Ta22 Co4 Se16'
_cell_length_a 12.1947
_cell_length_b 19.6412
_cell_length_c 3.4378
_cell_angle_alpha 90.00
_cell_angle_beta 90.00
_cell_angle_gamma 90.00
_symmetry_space_group_name_H-M 'P 1'
_symmetry_Int_Tables_number 1
_symmetry_space_group_name_Hall 'P 1'
loop_
_atom_site_label
_atom_site_fract_x
_atom_site_fract_y
_atom_site_fract_z
Ta1 0.0000 0.0000 0.0000
Ta2 0.0539 0.2423 0.0000
Ta3 0.0607 0.1158 0.5000
Ta4 0.1526 0.7884 0.5000
Ta5 0.1740 0.3532 0.5000
Ta6 0.1799 0.9466 0.5000
Ta7 0.3201 0.4466 0.0000
Ta8 0.3260 0.8532 0.0000
Ta9 0.3474 0.2884 0.0000
Ta10 0.4393 0.6158 0.0000
Ta11 0.4461 0.7423 0.5000
Ta12 0.5000 0.5000 0.5000
Ta13 0.5539 0.2577 0.5000
Ta14 0.5607 0.3842 0.0000
Ta15 0.6526 0.7116 0.0000
Ta16 0.6740 0.1468 0.0000
Ta17 0.6799 0.5534 0.0000
Ta18 0.8201 0.0534 0.5000
Ta19 0.8260 0.6468 0.5000
Ta20 0.8474 0.2116 0.5000
Ta21 0.9393 0.8842 0.5000
Ta22 0.9461 0.7577 0.0000
Co1 0.0934 0.8716 0.0000
Co2 0.4066 0.3716 0.5000
Co3 0.5934 0.6284 0.5000
Co4 0.9066 0.1284 0.0000
Se1 0.0403 0.6744 0.5000
Se2 0.1099 0.4457 0.0000
Se3 0.2044 0.0548 0.0000
Se4 0.2163 0.2143 0.5000
Se5 0.2837 0.7143 0.0000
Se6 0.2956 0.5548 0.5000
Se7 0.3901 0.9457 0.5000
Se8 0.4597 0.1744 0.0000
Se9 0.5403 0.8256 0.0000
Se10 0.6099 0.0543 0.5000
Se11 0.7044 0.4452 0.5000
Se12 0.7163 0.2857 0.0000
Se13 0.7837 0.7857 0.5000
Se14 0.7956 0.9452 0.0000
Se15 0.8901 0.5543 0.0000
Se16 0.9597 0.3256 0.5000
```


No. 7
The following is a simulated X-ray powder pattern of Ti2CoSe4. It was derived from the PBE geometry in the Materials Project, using Cu Kα, 1.54184 Å.
Lines closer than 0.1° are merged.

Main lines, low angle first (2θ = 15–90°):
2theta	I_rel
16.3	131
30.5	92
32.7	1000
32.8	173
33.0	339
42.4	207
42.5	630
50.9	202
51.4	388
55.5	117
55.7	121
62.0	104

Structure:
```
data_Ti2CoSe4
_chemical_formula_sum 'Ti2 Co1 Se4'
_cell_length_a 6.8421
_cell_length_b 6.8421
_cell_length_c 6.1436
_cell_angle_alpha 116.35
_cell_angle_beta 116.35
_cell_angle_gamma 30.40
_symmetry_space_group_name_H-M 'P 1'
_symmetry_Int_Tables_number 1
_symmetry_space_group_name_Hall 'P 1'
loop_
_atom_site_label
_atom_site_fract_x
_atom_site_fract_y
_atom_site_fract_z
Ti1 0.2478 0.2478 0.2353
Ti2 0.7522 0.7522 0.7647
Co1 0.5000 0.5000 0.5000
Se1 0.1194 0.1194 0.4547
Se2 0.3861 0.3861 0.0505
Se3 0.6139 0.6139 0.9495
Se4 0.8806 0.8806 0.5453
```


No. 8
The following is a simulated X-ray powder pattern of TlCo2Se2. It was derived from the PBE geometry in the Materials Project, using Cu Kα, 1.54184 Å.
Lines closer than 0.1° are merged.

Main lines, low angle first (2θ = 15–90°):
2theta	I_rel
23.9	162
26.2	119
30.4	1000
32.8	179
35.4	387
40.5	126
47.0	276
52.4	365
57.0	338
66.3	84
68.7	87
85.2	87

Structure:
```
data_TlCo2Se2
_chemical_formula_sum 'Tl1 Co2 Se2'
_cell_length_a 7.3383
_cell_length_b 7.3383
_cell_length_c 7.3383
_cell_angle_alpha 149.47
_cell_angle_beta 149.47
_cell_angle_gamma 43.73
_symmetry_space_group_name_H-M 'P 1'
_symmetry_Int_Tables_number 1
_symmetry_space_group_name_Hall 'P 1'
loop_
_atom_site_label
_atom_site_fract_x
_atom_site_fract_y
_atom_site_fract_z
Tl1 0.0000 0.0000 0.0000
Co1 0.2500 0.7500 0.5000
Co2 0.7500 0.2500 0.5000
Se1 0.3471 0.3471 0.0000
Se2 0.6529 0.6529 0.0000
```


No. 9
The following is a simulated X-ray powder pattern of U8CoSe17. It was derived from the PBE geometry in the Materials Project, using Cu Kα, 1.54184 Å.
Lines closer than 0.1° are merged.

Main lines, low angle first (2θ = 15–90°):
2theta	I_rel
19.1	493
23.4	489
24.3	1000
24.9	804
26.0	469
33.3	666
34.0	609
36.0	563
36.9	795
37.4	438
38.9	776
41.6	666

Structure:
```
data_U8CoSe17
_chemical_formula_sum 'U8 Co1 Se17'
_cell_length_a 8.1610
_cell_length_b 8.1610
_cell_length_c 10.7822
_cell_angle_alpha 100.02
_cell_angle_beta 100.02
_cell_angle_gamma 64.34
_symmetry_space_group_name_H-M 'P 1'
_symmetry_Int_Tables_number 1
_symmetry_space_group_name_Hall 'P 1'
loop_
_atom_site_label
_atom_site_fract_x
_atom_site_fract_y
_atom_site_fract_z
U1 0.1803 0.6968 0.7973
U2 0.2002 0.2002 0.9548
U3 0.3032 0.8197 0.2027
U4 0.3202 0.3202 0.4870
U5 0.6798 0.6798 0.5130
U6 0.6968 0.1803 0.7973
U7 0.7998 0.7998 0.0452
U8 0.8197 0.3032 0.2027
Co1 0.0000 0.0000 0.5000
Se1 0.0000 0.0000 0.0000
Se2 0.0540 0.0540 0.7218
Se3 0.0536 0.6810 0.5255
Se4 0.1823 0.5642 0.0362
Se5 0.2153 0.2153 0.2228
Se6 0.2984 0.2984 0.7439
Se7 0.3190 0.9464 0.4745
Se8 0.4358 0.8177 0.9638
Se9 0.4787 0.4787 0.3304
Se10 0.5213 0.5213 0.6696
Se11 0.5642 0.1823 0.0362
Se12 0.6810 0.0536 0.5255
Se13 0.7016 0.7016 0.2561
Se14 0.7847 0.7847 0.7772
Se15 0.8177 0.4358 0.9638
Se16 0.9464 0.3190 0.4745
Se17 0.9460 0.9460 0.2782
```


No. 10
The following is a simulated X-ray powder pattern of CoSi. It was derived from the PBE geometry in the Materials Project, using Cu Kα, 1.54184 Å.
Lines closer than 0.1° are merged.

Main lines, low angle first (2θ = 15–90°):
2theta	I_rel
28.5	204
35.1	156
40.7	95
45.8	1000
50.4	473
62.9	59
66.7	32
70.4	98
74.1	28
77.7	55
81.2	291
88.1	72

Structure:
```
data_CoSi
_chemical_formula_sum 'Co4 Si4'
_cell_length_a 4.4332
_cell_length_b 4.4332
_cell_length_c 4.4332
_cell_angle_alpha 90.00
_cell_angle_beta 90.00
_cell_angle_gamma 90.00
_symmetry_space_group_name_H-M 'P 1'
_symmetry_Int_Tables_number 1
_symmetry_space_group_name_Hall 'P 1'
loop_
_atom_site_label
_atom_site_fract_x
_atom_site_fract_y
_atom_site_fract_z
Co1 0.1451 0.1451 0.1451
Co2 0.3549 0.8549 0.6451
Co3 0.6451 0.3549 0.8549
Co4 0.8549 0.6451 0.3549
Si1 0.1568 0.3432 0.6568
Si2 0.3432 0.6568 0.1568
Si3 0.6568 0.1568 0.3432
Si4 0.8432 0.8432 0.8432
```


No. 11
The following is a simulated X-ray powder pattern of CoSi. It was derived from the PBE geometry in the Materials Project, using Cu Kα, 1.54184 Å.
Lines closer than 0.1° are merged.

Main lines, low angle first (2θ = 15–90°):
2theta	I_rel
32.2	195
46.2	1000
57.4	44
67.3	151
76.6	48
85.5	307

Structure:
```
data_CoSi
_chemical_formula_sum 'Co1 Si1'
_cell_length_a 2.7813
_cell_length_b 2.7813
_cell_length_c 2.7813
_cell_angle_alpha 90.00
_cell_angle_beta 90.00
_cell_angle_gamma 90.00
_symmetry_space_group_name_H-M 'P 1'
_symmetry_Int_Tables_number 1
_symmetry_space_group_name_Hall 'P 1'
loop_
_atom_site_label
_atom_site_fract_x
_atom_site_fract_y
_atom_site_fract_z
Co1 0.0000 0.0000 0.0000
Si1 0.5000 0.5000 0.5000
```


No. 12
The following is a simulated X-ray powder pattern of Co2Si3. It was derived from the PBE geometry in the Materials Project, using Cu Kα, 1.54184 Å.
Lines closer than 0.1° are merged.

Main lines, low angle first (2θ = 15–90°):
2theta	I_rel
26.8	596
33.2	257
38.8	217
39.8	248
43.2	1000
47.7	365
49.4	534
55.6	399
71.1	162
76.2	107
78.8	101
79.5	133

Structure:
```
data_Co2Si3
_chemical_formula_sum 'Co8 Si12'
_cell_length_a 5.3914
_cell_length_b 5.3914
_cell_length_c 8.4319
_cell_angle_alpha 90.00
_cell_angle_beta 90.00
_cell_angle_gamma 90.00
_symmetry_space_group_name_H-M 'P 1'
_symmetry_Int_Tables_number 1
_symmetry_space_group_name_Hall 'P 1'
loop_
_atom_site_label
_atom_site_fract_x
_atom_site_fract_y
_atom_site_fract_z
Co1 0.0000 0.0000 0.0000
Co2 0.0000 0.0000 0.5000
Co3 0.0000 0.5000 0.3697
Co4 0.0000 0.5000 0.8697
Co5 0.5000 0.0000 0.1303
Co6 0.5000 0.0000 0.6303
Co7 0.5000 0.5000 0.2500
Co8 0.5000 0.5000 0.7500
Si1 0.1724 0.1724 0.2500
Si2 0.1724 0.8276 0.7500
Si3 0.2049 0.3460 0.5912
Si4 0.2049 0.6540 0.0912
Si5 0.3460 0.2049 0.9088
Si6 0.3460 0.7951 0.4088
Si7 0.6540 0.2049 0.4088
Si8 0.6540 0.7951 0.9088
Si9 0.7951 0.3460 0.0912
Si10 0.7951 0.6540 0.5912
Si11 0.8276 0.1724 0.7500
Si12 0.8276 0.8276 0.2500
```